1.
The following is a computed powder diffraction line list of NpBiPt. It was derived from DFT lattice parameters and positions (GGA-PBE), using λ = 1.5418 Å (Cu Kα).
Kinematic intensities with the Lorentz-polarization factor, no thermal factor.

Principal peaks in the range 10° ≤ 2θ ≤ 80°, in order of rising 2θ:
d [Å]  2θ (°)  Rel. int.
3.613  24.64  22
3.046  29.32  25
2.795  32.03  52
2.559  35.06  100
2.452  36.65  20
2.269  39.73  53
1.991  45.56  24
1.943  46.75  23
1.595  57.79  20
1.210  79.15  19

Structure:
```
NpBiPt
1.0
1.9910 -9.8076 0.0000
1.9910 9.8076 0.0000
0.0000 0.0000 3.8861
Np Bi Pt
2 2 2
Cartesian
1.9910 8.9359 2.9146
1.9910 -8.9359 0.9715
1.9910 6.1023 0.9715
1.9910 -6.1023 2.9146
1.9910 1.6709 2.9146
1.9910 -1.6709 0.9715
```

=====

2.
The following is a computed powder diffraction line list of NaLaCe2Au4. It was derived from DFT lattice parameters and positions (GGA-PBE), using λ = 1.5418 Å (Cu Kα).
Kinematic intensities with the Lorentz-polarization factor, no thermal factor.

Principal peaks in the range 10° ≤ 2θ ≤ 80°, in order of rising 2θ:
d [Å]  2θ (°)  Rel. int.
3.696  24.08  10
2.614  34.31  100
2.134  42.36  3
1.924  47.24  4
1.848  49.31  18
1.653  55.60  4
1.510  61.42  28
1.507  61.53  7
1.308  72.25  6
1.306  72.37  5

Structure:
```
NaLaCe2Au4
1.0
2.6154 1.5100 8.5229
-2.6154 1.5100 8.5229
0.0000 -3.0200 8.5229
Na La Ce Au
1 1 2 4
Cartesian
0.0000 0.0000 0.0000
0.0000 0.0000 12.7843
0.0000 0.0000 6.5771
0.0000 0.0000 18.9916
0.0000 0.0000 3.3227
0.0000 0.0000 9.6844
0.0000 0.0000 15.8842
0.0000 0.0000 22.2460
```

=====

> What is the formula in the second record?

NaLaCe2Au4